Te2Mo3Se2S2: computed PXRD pattern (Cu Kα), based on a cell relaxed with GGA-PBE.
Lines closer than 0.1° are merged.

Structural model:
a b c (Å): 3.350 3.350 30.949
angles (deg): 90.00 90.00 120.00
Positions (direct):
Te1 0.000 0.000 0.000
Te2 0.000 0.000 0.122
Mo1 0.000 0.000 0.830
Mo2 0.667 0.333 0.061
Mo3 0.667 0.333 0.599
Se1 0.667 0.333 0.776
Se2 0.667 0.333 0.884
S1 0.000 0.000 0.549
S2 0.000 0.000 0.648

Largest 10 diffraction maxima, most intense first, 10° ≤ 2θ ≤ 90°:
2θ (°)	intensity	(hkl)
11.4	100.0	0 0 4
37.1	72.1	1 0 7
35.5	56.8	0 1 6
44.9	45.4	1 0 11
54.8	39.2	1 1 0
30.8	37.6	1 0 0
42.7	30.2	0 1 10
31.0	25.5	0 1 1
77.4	15.2	1 1 17
33.0	14.0	0 1 4